This entry pairs a crystal structure of TbTm3Bi3 with its theoretical XRD peak list. Radiation: Cu Kα. Structure: a cell relaxed with GGA-PBE.

Structure:
Lattice parameters (Å, degrees): 9.318 9.318 9.318 90.00 90.00 90.00
Fractional positions:
Tb (0.072, 0.428, 0.572)
Tb (0.428, 0.572, 0.072)
Tb (0.572, 0.072, 0.428)
Tb (0.928, 0.928, 0.928)
Tm (0.077, 0.577, 0.923)
Tm (0.176, 0.824, 0.324)
Tm (0.177, 0.177, 0.177)
Tm (0.323, 0.823, 0.677)
Tm (0.324, 0.176, 0.824)
Tm (0.423, 0.423, 0.423)
Tm (0.577, 0.923, 0.077)
Tm (0.676, 0.676, 0.676)
Tm (0.677, 0.323, 0.823)
Tm (0.823, 0.677, 0.323)
Tm (0.824, 0.324, 0.176)
Tm (0.923, 0.077, 0.577)
Bi (0.001, 0.254, 0.877)
Bi (0.123, 0.501, 0.246)
Bi (0.246, 0.123, 0.501)
Bi (0.254, 0.877, 0.001)
Bi (0.377, 0.499, 0.746)
Bi (0.499, 0.746, 0.377)
Bi (0.501, 0.246, 0.123)
Bi (0.623, 0.999, 0.754)
Bi (0.746, 0.377, 0.499)
Bi (0.754, 0.623, 0.999)
Bi (0.877, 0.001, 0.254)
Bi (0.999, 0.754, 0.623)

Most intense lines, 2θ = 15–90°, by angle:
Position (°2θ)	d/Å	intensity
23.38	3.804	9
30.33	2.947	100
36.07	2.490	69
43.43	2.084	18
45.67	1.987	12
47.82	1.902	14
49.90	1.827	18
61.33	1.512	30
63.10	1.473	11
64.85	1.438	15
69.95	1.345	6
74.89	1.268	18

This entry pairs a crystal structure of Ca3Ag3Ge2 with its theoretical XRD peak list. Radiation: Cu Kα. Structure: a cell relaxed with GGA-PBE.

Structure:
Lattice parameters (Å, degrees): 7.994 16.153 5.851 90.00 90.00 90.00
Fractional positions:
Ca (0.028, 0.108, 0.129)
Ca (0.028, 0.392, 0.129)
Ca (0.158, 0.250, 0.639)
Ca (0.342, 0.750, 0.139)
Ca (0.472, 0.608, 0.629)
Ca (0.472, 0.892, 0.629)
Ca (0.528, 0.108, 0.371)
Ca (0.528, 0.392, 0.371)
Ca (0.658, 0.250, 0.861)
Ca (0.842, 0.750, 0.361)
Ca (0.972, 0.608, 0.871)
Ca (0.972, 0.892, 0.871)
Ag (0.175, 0.030, 0.598)
Ag (0.175, 0.470, 0.598)
Ag (0.190, 0.750, 0.634)
Ag (0.310, 0.250, 0.134)
Ag (0.325, 0.530, 0.098)
Ag (0.325, 0.970, 0.098)
Ag (0.675, 0.030, 0.902)
Ag (0.675, 0.470, 0.902)
Ag (0.690, 0.750, 0.866)
Ag (0.810, 0.250, 0.366)
Ag (0.825, 0.530, 0.402)
Ag (0.825, 0.970, 0.402)
Ge (0.122, 0.612, 0.368)
Ge (0.122, 0.888, 0.368)
Ge (0.378, 0.112, 0.868)
Ge (0.378, 0.388, 0.868)
Ge (0.622, 0.612, 0.132)
Ge (0.622, 0.888, 0.132)
Ge (0.878, 0.112, 0.632)
Ge (0.878, 0.388, 0.632)

Most intense lines, 2θ = 15–90°, by angle:
Position (°2θ)	d/Å	intensity
18.79	4.722	50
19.59	4.532	22
22.44	3.962	43
31.49	2.841	54
31.80	2.814	27
32.59	2.748	43
35.12	2.555	89
36.72	2.447	53
37.07	2.425	72
39.68	2.272	100
43.66	2.073	47
45.38	1.998	33

This entry pairs a crystal structure of In3TeAu6 with its theoretical XRD peak list. Radiation: Cu Kα. Structure: a cell relaxed with GGA-PBE.

Structure:
Lattice parameters (Å, degrees): 7.133 6.879 9.937 90.00 110.83 90.00
Fractional positions:
In (0.103, 0.000, 0.431)
In (0.299, 0.607, 0.939)
In (0.387, 0.384, 0.367)
In (0.613, 0.884, 0.633)
In (0.701, 0.107, 0.061)
In (0.897, 0.500, 0.569)
Te (0.400, 0.260, 0.699)
Te (0.600, 0.760, 0.301)
Au (0.023, 0.370, 0.041)
Au (0.082, 0.862, 0.706)
Au (0.124, 0.692, 0.245)
Au (0.278, 0.633, 0.562)
Au (0.281, 0.054, 0.199)
Au (0.291, 0.173, 0.931)
Au (0.709, 0.673, 0.069)
Au (0.719, 0.554, 0.801)
Au (0.722, 0.133, 0.438)
Au (0.876, 0.192, 0.755)
Au (0.918, 0.362, 0.294)
Au (0.977, 0.870, 0.959)

Most intense lines, 2θ = 15–90°, by angle:
Position (°2θ)	d/Å	intensity
18.56	4.782	57
29.80	2.998	73
30.07	2.972	43
31.69	2.824	45
32.30	2.772	39
34.23	2.620	47
37.59	2.393	100
37.84	2.378	97
38.52	2.337	47
40.53	2.226	76
40.70	2.217	70
41.30	2.186	47

This entry pairs a crystal structure of Sr2MnHg with its theoretical XRD peak list. Radiation: Cu Kα. Structure: a cell relaxed with GGA-PBE.

Structure:
Lattice parameters (Å, degrees): 3.826 3.826 8.982 90.00 90.00 90.00
Fractional positions:
Sr (0.000, 0.000, 0.000)
Sr (0.500, 0.500, 0.384)
Mn (0.500, 0.500, 0.750)
Hg (0.000, 0.000, 0.625)

Most intense lines, 2θ = 15–90°, by angle:
Position (°2θ)	d/Å	intensity
23.25	3.826	20
25.30	3.520	33
29.84	2.994	21
30.70	2.912	100
33.11	2.706	76
34.63	2.591	24
38.17	2.358	58
45.17	2.007	27
47.53	1.913	28
56.60	1.626	14
57.65	1.599	33
62.52	1.486	27

This entry pairs a crystal structure of BaNp2Ni2S6 with its theoretical XRD peak list. Radiation: Cu Kα. Structure: a cell relaxed with GGA-PBE.

Structure:
Lattice parameters (Å, degrees): 7.066 7.107 7.250 62.09 63.61 60.55
Fractional positions:
Ba (0.000, 0.000, 0.000)
Np (0.017, 0.329, 0.326)
Np (0.983, 0.671, 0.674)
Ni (0.440, 0.690, 0.337)
Ni (0.560, 0.310, 0.663)
S (0.241, 0.543, 0.322)
S (0.249, 0.305, 0.923)
S (0.249, 0.905, 0.548)
S (0.751, 0.095, 0.452)
S (0.751, 0.695, 0.077)
S (0.759, 0.457, 0.678)

Most intense lines, 2θ = 15–90°, by angle:
Position (°2θ)	d/Å	intensity
15.45	5.736	31
24.08	3.695	32
24.64	3.614	44
25.07	3.553	54
27.71	3.219	26
28.11	3.174	48
29.25	3.054	100
29.42	3.036	44
38.09	2.362	35
39.80	2.265	34
44.19	2.049	47
54.01	1.698	26

This entry pairs a crystal structure of Na2Ga4Cu3 with its theoretical XRD peak list. Radiation: Cu Kα. Structure: a cell relaxed with GGA-PBE.

Structure:
Lattice parameters (Å, degrees): 7.785 6.931 5.212 78.35 60.68 40.97
Fractional positions:
Na (0.125, 0.125, 0.875)
Na (0.875, 0.875, 0.125)
Ga (0.169, 0.506, 0.494)
Ga (0.494, 0.831, 0.169)
Ga (0.506, 0.169, 0.831)
Ga (0.831, 0.494, 0.506)
Cu (0.000, 0.000, 0.500)
Cu (0.500, 0.500, 0.000)
Cu (0.500, 0.500, 0.500)

Most intense lines, 2θ = 15–90°, by angle:
Position (°2θ)	d/Å	intensity
19.92	4.457	30
20.44	4.344	46
33.17	2.701	21
36.11	2.487	18
40.36	2.235	16
40.63	2.221	100
41.58	2.172	45
42.49	2.128	35
42.99	2.104	19
43.92	2.062	22
48.66	1.871	23
64.34	1.448	27

This entry pairs a crystal structure of Rb3FeS3 with its theoretical XRD peak list. Radiation: Cu Kα. Structure: a cell relaxed with GGA-PBE.

Structure:
Lattice parameters (Å, degrees): 10.324 10.324 13.141 90.00 90.00 39.76
Fractional positions:
Rb (0.016, 0.339, 0.870)
Rb (0.145, 0.855, 0.834)
Rb (0.161, 0.484, 0.630)
Rb (0.339, 0.016, 0.130)
Rb (0.355, 0.645, 0.334)
Rb (0.484, 0.161, 0.370)
Rb (0.516, 0.839, 0.630)
Rb (0.645, 0.355, 0.666)
Rb (0.661, 0.984, 0.870)
Rb (0.839, 0.516, 0.370)
Rb (0.855, 0.145, 0.166)
Rb (0.984, 0.661, 0.130)
Fe (0.082, 0.082, 0.500)
Fe (0.418, 0.418, 0.000)
Fe (0.582, 0.582, 0.000)
Fe (0.918, 0.918, 0.500)
S (0.009, 0.693, 0.388)
S (0.193, 0.509, 0.888)
S (0.197, 0.803, 0.580)
S (0.303, 0.697, 0.080)
S (0.307, 0.991, 0.388)
S (0.491, 0.807, 0.888)
S (0.509, 0.193, 0.112)
S (0.693, 0.009, 0.612)
S (0.697, 0.303, 0.920)
S (0.803, 0.197, 0.420)
S (0.807, 0.491, 0.112)
S (0.991, 0.307, 0.612)

Most intense lines, 2θ = 15–90°, by angle:
Position (°2θ)	d/Å	intensity
23.08	3.854	87
24.38	3.650	82
27.10	3.291	56
27.14	3.285	56
27.56	3.236	72
27.86	3.202	100
32.20	2.780	53
33.13	2.704	36
37.48	2.400	37
37.81	2.380	32
39.07	2.305	82
50.04	1.823	39

This entry pairs a crystal structure of Tb3Si2GePd9 with its theoretical XRD peak list. Radiation: Cu Kα. Structure: a cell relaxed with GGA-PBE.

Structure:
Lattice parameters (Å, degrees): 6.375 6.375 8.627 90.00 90.00 120.00
Fractional positions:
Tb (0.000, 0.000, 0.000)
Tb (0.333, 0.667, 0.703)
Tb (0.667, 0.333, 0.297)
Si (0.333, 0.667, 0.178)
Si (0.667, 0.333, 0.822)
Ge (0.000, 0.000, 0.500)
Pd (0.000, 0.500, 0.000)
Pd (0.146, 0.291, 0.284)
Pd (0.146, 0.854, 0.284)
Pd (0.291, 0.146, 0.716)
Pd (0.500, 0.000, 0.000)
Pd (0.500, 0.500, 0.000)
Pd (0.709, 0.854, 0.284)
Pd (0.854, 0.146, 0.716)
Pd (0.854, 0.709, 0.716)

Most intense lines, 2θ = 15–90°, by angle:
Position (°2θ)	d/Å	intensity
31.10	2.876	26
34.10	2.629	99
38.73	2.325	100
41.89	2.157	14
45.55	1.991	20
53.95	1.699	19
57.86	1.594	29
63.59	1.463	15
67.15	1.394	14
71.81	1.315	14
73.95	1.282	13
74.39	1.275	12

This entry pairs a crystal structure of CsReO3 with its theoretical XRD peak list. Radiation: Cu Kα. Structure: a cell relaxed with GGA-PBE.

Structure:
Lattice parameters (Å, degrees): 7.274 7.274 7.274 128.81 100.77 100.74
Fractional positions:
Cs (0.225, 0.000, 0.225)
Cs (0.775, 0.000, 0.775)
Re (0.353, 0.353, 0.000)
Re (0.647, 0.647, 0.000)
O (0.234, 0.011, 0.777)
O (0.234, 0.457, 0.223)
O (0.349, 0.500, 0.849)
O (0.651, 0.500, 0.151)
O (0.766, 0.543, 0.777)
O (0.766, 0.989, 0.223)

Most intense lines, 2θ = 15–90°, by angle:
Position (°2θ)	d/Å	intensity
17.04	5.203	100
25.73	3.462	82
27.19	3.280	31
28.40	3.142	27
30.47	2.934	26
32.26	2.775	40
38.83	2.319	12
42.14	2.144	26
48.70	1.870	15
51.35	1.779	43
52.88	1.731	22
67.44	1.389	24

This entry pairs a crystal structure of Ba2AcPd with its theoretical XRD peak list. Radiation: Cu Kα. Structure: a cell relaxed with GGA-PBE.

Structure:
Lattice parameters (Å, degrees): 4.408 4.408 19.659 90.00 90.02 90.00
Fractional positions:
Ba (0.249, 0.000, 0.084)
Ba (0.251, 0.999, 0.744)
Ba (0.749, 0.499, 0.256)
Ba (0.751, 0.500, 0.916)
Ac (0.250, 0.997, 0.425)
Ac (0.750, 0.497, 0.575)
Pd (0.250, 0.997, 0.582)
Pd (0.750, 0.497, 0.418)

Most intense lines, 2θ = 15–90°, by angle:
Position (°2θ)	d/Å	intensity
24.34	3.658	100
27.22	3.276	46
28.64	3.117	85
29.00	3.079	16
39.92	2.258	67
40.95	2.204	33
46.39	1.957	16
48.20	1.888	32
49.86	1.829	35
66.43	1.407	15
67.15	1.394	15
73.88	1.283	22

This entry pairs a crystal structure of Na4Pr3AlO8 with its theoretical XRD peak list. Radiation: Cu Kα. Structure: a cell relaxed with GGA-PBE.

Structure:
Lattice parameters (Å, degrees): 7.024 7.024 6.843 118.69 118.69 58.61
Fractional positions:
Na (0.000, 0.000, 0.000)
Na (0.000, 0.500, 0.500)
Na (0.500, 0.000, 0.500)
Na (0.500, 0.500, 0.000)
Pr (0.000, 0.000, 0.500)
Pr (0.000, 0.500, 0.000)
Pr (0.500, 0.000, 0.000)
Al (0.500, 0.500, 0.500)
O (0.225, 0.225, 0.212)
O (0.232, 0.232, 0.742)
O (0.285, 0.686, 0.291)
O (0.314, 0.715, 0.709)
O (0.686, 0.285, 0.291)
O (0.715, 0.314, 0.709)
O (0.768, 0.768, 0.258)
O (0.775, 0.775, 0.788)

Most intense lines, 2θ = 15–90°, by angle:
Position (°2θ)	d/Å	intensity
15.52	5.708	20
15.65	5.662	100
29.16	3.063	21
30.36	2.944	40
31.34	2.854	68
31.61	2.831	23
35.10	2.557	41
37.07	2.425	67
39.58	2.277	14
51.78	1.766	24
52.16	1.753	22
63.18	1.472	15